No. 1
This entry pairs a crystal structure of BaCl2 with its calculated PXRD pattern. Radiation: a wavelength of 1.5418 Å. Structure: a cell relaxed with PBE.
Neutral-atom scattering factors, no anomalous dispersion.

The 10 most intense peaks (2θ from 5° to 70°), low angle first:
two_theta  I_rel
20.75  99
24.01  9
34.21  100
40.35  53
42.23  4
49.16  17
53.91  23
55.42  5
61.25  34
65.41  17

a b c (Å): 7.414 7.414 7.414
angles (deg): 90.00 90.00 90.00
Positions (direct):
Ba: 0.000 0.000 0.000
Ba: 0.000 0.500 0.500
Ba: 0.500 0.000 0.500
Ba: 0.500 0.500 0.000
Cl: 0.250 0.250 0.250
Cl: 0.250 0.250 0.750
Cl: 0.250 0.750 0.250
Cl: 0.250 0.750 0.750
Cl: 0.750 0.250 0.250
Cl: 0.750 0.250 0.750
Cl: 0.750 0.750 0.250
Cl: 0.750 0.750 0.750



No. 2
This entry pairs a crystal structure of BaCl2 with its calculated PXRD pattern. Radiation: a wavelength of 1.5418 Å. Structure: a cell relaxed with PBE.
Neutral-atom scattering factors, no anomalous dispersion.

The 10 most intense peaks (2θ from 5° to 70°), low angle first:
two_theta  I_rel
20.60  45
21.67  85
22.20  41
23.43  80
30.46  100
33.71  58
37.21  42
38.64  45
39.71  39
40.74  46

a b c (Å): 8.010 4.833 9.550
angles (deg): 90.00 90.00 90.00
Positions (direct):
Ba: 0.247 0.250 0.112
Ba: 0.253 0.750 0.612
Ba: 0.747 0.250 0.388
Ba: 0.753 0.750 0.888
Cl: 0.023 0.250 0.835
Cl: 0.141 0.250 0.427
Cl: 0.359 0.750 0.927
Cl: 0.477 0.750 0.335
Cl: 0.523 0.250 0.665
Cl: 0.641 0.250 0.073
Cl: 0.859 0.750 0.573
Cl: 0.977 0.750 0.165



No. 3
This entry pairs a crystal structure of CsBa2SnS4Cl with its calculated PXRD pattern. Radiation: a wavelength of 1.5418 Å. Structure: a cell relaxed with PBE.
Neutral-atom scattering factors, no anomalous dispersion.

The 10 most intense peaks (2θ from 5° to 70°), low angle first:
two_theta  I_rel
22.24  43
22.76  72
23.11  100
24.38  36
24.68  40
27.40  78
27.54  72
29.69  78
35.48  64
40.25  35

a b c (Å): 10.122 8.974 12.782
angles (deg): 90.00 90.88 90.00
Positions (direct):
Cs: 0.022 0.085 0.328
Cs: 0.022 0.415 0.828
Cs: 0.978 0.585 0.172
Cs: 0.978 0.915 0.672
Ba: 0.248 0.601 0.477
Ba: 0.248 0.899 0.977
Ba: 0.480 0.093 0.322
Ba: 0.480 0.407 0.822
Ba: 0.520 0.593 0.178
Ba: 0.520 0.907 0.678
Ba: 0.752 0.101 0.023
Ba: 0.752 0.399 0.523
Sn: 0.258 0.188 0.600
Sn: 0.258 0.312 0.100
Sn: 0.742 0.688 0.900
Sn: 0.742 0.812 0.400
S: 0.061 0.175 0.059
S: 0.061 0.325 0.559
S: 0.282 0.129 0.784
S: 0.282 0.371 0.284
S: 0.283 0.537 0.000
S: 0.283 0.963 0.500
S: 0.446 0.158 0.063
S: 0.446 0.342 0.563
S: 0.554 0.658 0.437
S: 0.554 0.842 0.937
S: 0.717 0.037 0.500
S: 0.717 0.463 0.000
S: 0.718 0.629 0.716
S: 0.718 0.871 0.216
S: 0.939 0.675 0.441
S: 0.939 0.825 0.941
Cl: 0.285 0.672 0.725
Cl: 0.285 0.828 0.225
Cl: 0.715 0.172 0.775
Cl: 0.715 0.328 0.275



No. 4
This entry pairs a crystal structure of BaNaCuClO2 with its calculated PXRD pattern. Radiation: a wavelength of 1.5418 Å. Structure: a cell relaxed with PBE.
Neutral-atom scattering factors, no anomalous dispersion.

The 10 most intense peaks (2θ from 5° to 70°), low angle first:
two_theta  I_rel
12.47  65
25.72  45
31.89  47
33.88  100
34.36  14
45.72  27
50.45  11
53.19  12
58.11  39
61.86  11

a b c (Å): 3.969 3.969 7.099
angles (deg): 90.00 90.00 90.00
Positions (direct):
Ba: 0.000 0.000 0.000
Na: 0.000 0.000 0.549
Cu: 0.500 0.500 0.735
Cl: 0.500 0.500 0.262
O: 0.000 0.500 0.755
O: 0.500 0.000 0.755



No. 5
This entry pairs a crystal structure of Ba2CuClO2 with its calculated PXRD pattern. Radiation: a wavelength of 1.5418 Å. Structure: a cell relaxed with PBE.
Neutral-atom scattering factors, no anomalous dispersion.

The 10 most intense peaks (2θ from 5° to 70°), low angle first:
two_theta  I_rel
18.47  19
24.53  16
26.80  100
34.52  41
37.44  12
41.72  35
50.28  17
56.68  12
57.29  21
67.33  14

a b c (Å): 9.928 9.928 9.928
angles (deg): 25.19 25.19 25.19
Positions (direct):
Ba: 0.245 0.245 0.245
Ba: 0.755 0.755 0.755
Cu: 0.000 0.000 0.000
Cl: 0.500 0.500 0.500
O: 0.063 0.063 0.063
O: 0.937 0.937 0.937



No. 6
This entry pairs a crystal structure of Ba9Cu7Cl2O15 with its calculated PXRD pattern. Radiation: a wavelength of 1.5418 Å. Structure: a cell relaxed with PBE.
Neutral-atom scattering factors, no anomalous dispersion.

The 10 most intense peaks (2θ from 5° to 70°), low angle first:
two_theta  I_rel
16.15  17
23.71  20
28.82  100
29.20  34
32.63  37
41.02  12
44.35  38
50.26  25
51.54  17
67.34  10

a b c (Å): 10.976 10.976 6.117
angles (deg): 90.00 90.00 120.00
Positions (direct):
Ba: 0.000 0.500 0.000
Ba: 0.202 0.405 0.500
Ba: 0.202 0.798 0.500
Ba: 0.405 0.202 0.500
Ba: 0.500 0.000 0.000
Ba: 0.500 0.500 0.000
Ba: 0.595 0.798 0.500
Ba: 0.798 0.202 0.500
Ba: 0.798 0.595 0.500
Cu: 0.000 0.000 0.500
Cu: 0.133 0.266 0.000
Cu: 0.133 0.867 0.000
Cu: 0.266 0.133 0.000
Cu: 0.734 0.867 0.000
Cu: 0.867 0.133 0.000
Cu: 0.867 0.734 0.000
Cl: 0.333 0.667 0.000
Cl: 0.667 0.333 0.000
O: 0.000 0.265 0.209
O: 0.000 0.265 0.791
O: 0.000 0.500 0.500
O: 0.000 0.735 0.209
O: 0.000 0.735 0.791
O: 0.265 0.000 0.209
O: 0.265 0.000 0.791
O: 0.265 0.265 0.209
O: 0.265 0.265 0.791
O: 0.500 0.000 0.500
O: 0.500 0.500 0.500
O: 0.735 0.000 0.209
O: 0.735 0.000 0.791
O: 0.735 0.735 0.209
O: 0.735 0.735 0.791



No. 7
This entry pairs a crystal structure of Ba2DyCl7 with its calculated PXRD pattern. Radiation: a wavelength of 1.5418 Å. Structure: a cell relaxed with PBE.
Neutral-atom scattering factors, no anomalous dispersion.

The 10 most intense peaks (2θ from 5° to 70°), low angle first:
two_theta  I_rel
18.91  21
21.26  100
21.70  42
21.95  24
25.78  28
33.11  21
34.18  41
35.26  39
35.55  36
37.87  25

a b c (Å): 6.911 15.726 10.645
angles (deg): 90.00 90.71 90.00
Positions (direct):
Ba: 0.235 0.061 0.324
Ba: 0.235 0.439 0.824
Ba: 0.235 0.720 0.451
Ba: 0.235 0.780 0.951
Ba: 0.765 0.220 0.049
Ba: 0.765 0.280 0.549
Ba: 0.765 0.561 0.176
Ba: 0.765 0.939 0.676
Dy: 0.283 0.127 0.782
Dy: 0.283 0.373 0.282
Dy: 0.717 0.627 0.718
Dy: 0.717 0.873 0.218
Cl: 0.012 0.243 0.302
Cl: 0.012 0.257 0.802
Cl: 0.014 0.105 0.586
Cl: 0.014 0.395 0.086
Cl: 0.206 0.540 0.287
Cl: 0.206 0.960 0.787
Cl: 0.210 0.140 0.028
Cl: 0.210 0.360 0.528
Cl: 0.371 0.571 0.624
Cl: 0.371 0.929 0.124
Cl: 0.499 0.228 0.294
Cl: 0.499 0.272 0.794
Cl: 0.500 0.105 0.572
Cl: 0.500 0.395 0.072
Cl: 0.500 0.605 0.928
Cl: 0.500 0.895 0.428
Cl: 0.501 0.728 0.206
Cl: 0.501 0.772 0.706
Cl: 0.629 0.071 0.876
Cl: 0.629 0.429 0.376
Cl: 0.790 0.640 0.472
Cl: 0.790 0.860 0.972
Cl: 0.794 0.040 0.213
Cl: 0.794 0.460 0.713
Cl: 0.986 0.605 0.914
Cl: 0.986 0.895 0.414
Cl: 0.988 0.743 0.198
Cl: 0.988 0.757 0.698